The following is a computed PXRD pattern of Hg2Pd7Au2. It was derived from a structure optimized by DFT (PBE), using Cu Kα X-rays.
No peak broadening, texture or thermal motion is included.

Structural model:
a b c (Å): 4.4192 12.2566 7.0988
angles (deg): 90.00 90.00 90.00
Space group Imm2 (No. 44)
One atom of each set of equivalent atoms:
1 Hg 0.0000 0.2028 0.0000 (multiplicity 4)
2 Pd 0.0000 0.0000 0.1998 (multiplicity 2)
3 Pd 0.0000 0.1507 0.4920 (multiplicity 4)
4 Pd 0.0000 0.3531 0.7078 (multiplicity 4)
5 Pd 0.0000 0.3549 0.2871 (multiplicity 4)
6 Au 0.0000 0.0000 0.7908 (multiplicity 2)
7 Au 0.0000 0.5000 0.9923 (multiplicity 2)

Top 12 peaks for 10 to 90 degrees two-theta, most intense first:
(hkl)	d/Å	intensity
1 3 2	2.291	100.0
1 4 1	2.373	31.4
2 0 0	2.210	30.9
3 3 2	1.291	16.0
1 0 1	3.752	13.6
0 1 3	2.323	13.3
2 7 3	1.187	13.1
0 6 0	2.043	11.6
0 7 3	1.407	11.3
0 3 1	3.542	11.1
1 4 5	1.237	10.9
2 1 3	1.601	9.8